# Ba4Mg5Sn7
Calculated X-ray diffraction stick pattern, Cu Kα. Input: a crystal structure in the Materials Project, relaxed with GGA-PBE.
Peak positions follow from Bragg's law for the DFT cell and can differ from measured ones.

Crystal structure
```
data_Ba4Mg5Sn7
_chemical_formula_sum 'Ba4 Mg5 Sn7'
_symmetry_space_group_name_H-M 'P 4/m m m'
_symmetry_Int_Tables_number 123
_symmetry_space_group_name_Hall '-P 4 2'
_cell_length_a 3.546
_cell_length_b 3.546
_cell_length_c 49.430
_cell_angle_alpha 90.00
_cell_angle_beta 90.00
_cell_angle_gamma 90.00
loop_
_atom_site_label
_atom_site_type_symbol
_atom_site_fract_x
_atom_site_fract_y
_atom_site_fract_z
_atom_site_occupancy
Ba1 Ba 0.000 0.000 0.126 1
Ba2 Ba 0.000 0.000 0.373 1
Mg1 Mg 0.000 0.000 0.000 1
Mg2 Mg 0.000 0.000 0.251 1
Mg3 Mg 0.000 0.000 0.443 1
Sn1 Sn 0.000 0.000 0.059 1
Sn2 Sn 0.000 0.000 0.194 1
Sn3 Sn 0.000 0.000 0.307 1
Sn4 Sn 0.000 0.000 0.500 1
```

Largest 10 diffraction maxima, by angle, 10 to 90 degrees two-theta:
hkl 1 0 0, 25.1°, intensity 100; hkl 0 0 16, 28.9°, intensity 30; hkl 1 0 12, 33.3°, intensity 16; hkl 1 1 0, 35.8°, intensity 41; hkl 1 0 16, 38.7°, intensity 55; hkl 1 1 16, 46.7°, intensity 32; hkl 2 0 0, 51.6°, intensity 14; hkl 2 1 0, 58.2°, intensity 20; hkl 2 0 16, 60.2°, intensity 15; hkl 2 1 16, 66.3°, intensity 23